1.
RbNa13: calculated PXRD pattern (Cu Kα), based on the PBE geometry in Alexandria.
Kinematic intensities with the Lorentz-polarization factor, no thermal factor.

Crystal structure
abc: 16.8127 16.8127 16.8127
angles: 90.00 90.00 90.00
Space group Fm-3c (No. 226)
Inequivalent atoms, fractional coordinates:
Rb 0.2500 0.2500 0.2500 (multiplicity 8)
Na 0.0000 0.0000 0.0000 (multiplicity 8)
Na 0.0000 0.1178 0.1807 (multiplicity 96)

Largest 6 diffraction maxima, sorted by position, 5 to 70 degrees two-theta:
Position (°2θ)	I/Imax
23.67	60.9
25.96	100.0
31.48	79.3
33.72	28.5
40.14	28.8
44.43	25.0


2.
K2Hg6S7: calculated PXRD pattern (Cu Kα), based on the PBE geometry in Alexandria.
Kinematic intensities with the Lorentz-polarization factor, no thermal factor.

Crystal structure
abc: 14.1021 14.1021 4.1611
angles: 90.00 90.00 90.00
Space group P-42_1m (No. 113)
Inequivalent atoms, fractional coordinates:
K 0.1716 0.3284 0.2407 (multiplicity 4)
Hg 0.0658 0.8389 0.2484 (multiplicity 8)
Hg 0.0976 0.5976 0.7358 (multiplicity 4)
S 0.0000 0.5000 0.0750 (multiplicity 2)
S 0.0381 0.1960 0.7533 (multiplicity 8)
S 0.1848 0.6848 0.3419 (multiplicity 4)

Largest 6 diffraction maxima, sorted by position, 5 to 70 degrees two-theta:
Position (°2θ)	I/Imax
14.04	43.7
25.65	36.6
26.05	39.2
27.93	100.0
31.73	27.7
44.75	45.7


3.
DyTh3Sc4: calculated PXRD pattern (Cu Kα), based on the PBE geometry in Alexandria.
Kinematic intensities with the Lorentz-polarization factor, no thermal factor.

Crystal structure
abc: 3.7111 5.5023 11.0121
angles: 90.00 90.00 90.00
Space group Pmmm (No. 47)
Inequivalent atoms, fractional coordinates:
Dy 0.0000 0.0000 0.0000 (multiplicity 1)
Th 0.0000 0.0000 0.5000 (multiplicity 1)
Th 0.0000 0.5000 0.2471 (multiplicity 2)
Sc 0.5000 0.0000 0.2533 (multiplicity 2)
Sc 0.5000 0.5000 0.0000 (multiplicity 1)
Sc 0.5000 0.5000 0.5000 (multiplicity 1)

Largest 6 diffraction maxima, sorted by position, 5 to 70 degrees two-theta:
Position (°2θ)	I/Imax
22.85	52.0
23.98	23.2
32.54	53.4
33.36	100.0
40.82	24.4
58.58	39.7


4.
YAl3Au3: calculated PXRD pattern (Cu Kα), based on the PBE geometry in Alexandria.
Kinematic intensities with the Lorentz-polarization factor, no thermal factor.

Crystal structure
abc: 6.9791 4.4641 8.9721
angles: 90.00 107.18 90.00
Space group P2_1/m (No. 11)
Inequivalent atoms, fractional coordinates:
Y 0.1554 0.2500 0.2970 (multiplicity 2)
Al 0.1052 0.2500 0.9231 (multiplicity 2)
Al 0.4886 0.2500 0.6628 (multiplicity 2)
Al 0.4911 0.7500 0.8727 (multiplicity 2)
Au 0.0919 0.2500 0.6333 (multiplicity 2)
Au 0.2674 0.7500 0.0554 (multiplicity 2)
Au 0.3301 0.7500 0.5592 (multiplicity 2)

Largest 6 diffraction maxima, sorted by position, 5 to 70 degrees two-theta:
Position (°2θ)	I/Imax
10.32	34.2
27.87	40.3
29.13	100.0
33.55	73.2
36.40	30.7
40.41	53.3